CaCr2P4O14: calculated X-ray diffraction stick pattern (a wavelength of 1.5418 Å), based on a PBE+U-relaxed structure.
No peak broadening, texture or thermal motion is included.

Crystal structure
```
data_CaCr2P4O14
_chemical_formula_sum 'Ca1 Cr2 P4 O14'
_space_group_name_H-M_alt 'P 1'
_space_group_IT_number 1
_space_group_name_Hall 'P 1'
_cell_length_a 6.350
_cell_length_b 6.434
_cell_length_c 7.124
_cell_angle_alpha 83.61
_cell_angle_beta 89.15
_cell_angle_gamma 68.27
loop_
_atom_site_label
_atom_site_fract_x
_atom_site_fract_y
_atom_site_fract_z
Ca1 0.000 0.000 0.000
Cr1 0.440 0.160 0.180
Cr2 0.953 0.415 0.579
P1 0.437 0.075 0.762
P2 0.540 0.620 0.264
P3 0.845 0.950 0.498
P4 0.947 0.500 0.996
O1 0.000 0.702 0.510
O2 0.050 0.665 0.923
O3 0.107 0.287 0.122
O4 0.282 0.289 0.641
O5 0.326 0.917 0.837
O6 0.378 0.870 0.239
O7 0.428 0.469 0.197
O8 0.568 0.128 0.927
O9 0.633 0.950 0.623
O10 0.647 0.541 0.461
O11 0.744 0.622 0.126
O12 0.756 0.034 0.290
O13 0.848 0.408 0.840
O14 0.951 0.101 0.575
```

Principal peaks in the range 10 to 80 degrees two-theta, sorted by position:
16.81°, intensity 54, (1 1 0)
19.32°, intensity 83, (1 0 -1)
28.20°, intensity 69, (1 2 0)
28.94°, intensity 46, (1 -1 1)
29.06°, intensity 100, (1 0 -2)
29.82°, intensity 67, (1 0 2)
30.10°, intensity 28, (0 2 0)
30.32°, intensity 56, (2 0 0)